For Li2MoP5O15, a structure optimized by DFT (GGA+U) gives the computed powder diffraction line list in this record (Cu Kα, 1.54184 Å).

Atomic structure:
```
data_Li2MoP5O15
_chemical_formula_sum 'Li4 Mo2 P10 O30'
_space_group_name_H-M_alt 'P 1 21/m 1'
_space_group_IT_number 11
_cell_length_a 5.3356
_cell_length_b 13.5532
_cell_length_c 8.9610
_cell_angle_alpha 90.00
_cell_angle_beta 102.33
_cell_angle_gamma 90.00
loop_
_space_group_symop_operation_xyz
'x,y,z'
'-x,-y,-z'
'-x,y+1/2,-z'
'x,-y+1/2,z'
loop_
_atom_site_label
_atom_site_type_symbol
_atom_site_fract_x
_atom_site_fract_y
_atom_site_fract_z
_atom_site_occupancy
Li1 Li 0.0556 0.1228 0.0797 1
Mo1 Mo 0.5000 0.0000 0.5000 1
P1 P 0.0064 0.1422 0.5169 1
P2 P 0.3370 0.0772 0.8190 1
P3 P 0.4574 0.7500 0.9847 1
O1 O 0.0675 0.2500 0.4624 1
O2 O 0.1379 0.0731 0.4254 1
O3 O 0.1460 0.1445 0.6931 1
O4 O 0.1887 0.0370 0.9286 1
O5 O 0.1945 0.7500 0.8830 1
O6 O 0.2777 0.6320 0.4957 1
O7 O 0.2984 0.2500 0.0728 1
O8 O 0.4552 0.6576 0.1022 1
O9 O 0.4789 0.0070 0.7352 1
```

Largest 10 diffraction maxima, sorted by position, 10 to 80 degrees two-theta:
hkl 0 0 1, d 8.754, 2θ 10.1, I 100
hkl 0 2 0, d 6.777, 2θ 13.1, I 52
hkl 0 2 1, d 5.359, 2θ 16.5, I 80
hkl 1 0 -1, d 4.970, 2θ 17.8, I 50
hkl 0 0 2, d 4.377, 2θ 20.3, I 90
hkl 1 2 0, d 4.132, 2θ 21.5, I 47
hkl 1 2 -1, d 4.010, 2θ 22.2, I 90
hkl 1 2 1, d 3.514, 2θ 25.3, I 87
hkl 1 4 0, d 2.841, 2θ 31.5, I 45
hkl 0 0 4, d 2.188, 2θ 41.3, I 32